Record 1
For Na2InAg2SnAu2, a DFT-relaxed cell (GGA-PBE, OQMD) gives the calculated X-ray diffraction stick pattern in this record (Cu Kα (weighted mean of Kα1 and Kα2)).
Kinematic intensities with the Lorentz-polarization factor, no thermal factor.

```
data_Na2InAg2SnAu2
_chemical_formula_sum 'Na2 In1 Ag2 Sn1 Au2'
_space_group_name_H-M_alt 'P -4 m 2'
_space_group_IT_number 115
_cell_length_a 4.8516
_cell_length_b 4.8516
_cell_length_c 6.8562
_cell_angle_alpha 90.00
_cell_angle_beta 90.00
_cell_angle_gamma 90.00
loop_
_space_group_symop_operation_xyz
'x,y,z'
'y,-x,-z'
'-x,-y,z'
'-y,x,-z'
'-x,y,z'
'-y,-x,-z'
'x,-y,z'
'y,x,-z'
loop_
_atom_site_label
_atom_site_fract_x
_atom_site_fract_y
_atom_site_fract_z
Na1 0.0000 0.0000 0.0000
Na2 0.5000 0.5000 0.5000
In1 0.0000 0.0000 0.5000
Ag1 0.0000 0.5000 0.7490
Sn1 0.5000 0.5000 0.0000
Au1 0.0000 0.5000 0.2513
```

The 10 most intense peaks (2θ from 10° to 80°), by angle:
d 3.960, rel. 18, (1 0 1)
d 3.430, rel. 17, (1 1 0)
d 2.425, rel. 100, (2 0 0)
d 2.068, rel. 10, (2 1 1)
d 1.980, rel. 5, (2 0 2)
d 1.715, rel. 17, (2 2 0)
d 1.574, rel. 5, (3 0 1)
d 1.534, rel. 7, (3 1 0)
d 1.400, rel. 35, (3 1 2)
d 1.213, rel. 11, (4 0 0)

***

Record 2
For AlBiMoH6, a DFT-relaxed cell (GGA-PBE, OQMD) gives the calculated X-ray diffraction stick pattern in this record (Cu Kα (weighted mean of Kα1 and Kα2)).
Kinematic intensities with the Lorentz-polarization factor, no thermal factor.

```
data_AlBiMoH6
_chemical_formula_sum 'Al4 Bi4 Mo4 H24'
_space_group_name_H-M_alt 'F -4 3 m'
_space_group_IT_number 216
_space_group_name_Hall 'F -4 2 3'
_cell_length_a 6.7556
_cell_length_b 6.7556
_cell_length_c 6.7556
_cell_angle_alpha 90.00
_cell_angle_beta 90.00
_cell_angle_gamma 90.00
loop_
_atom_site_label
_atom_site_fract_x
_atom_site_fract_y
_atom_site_fract_z
Al1 0.0000 0.0000 0.0000
Bi1 0.2500 0.2500 0.7500
Mo1 0.0000 0.0000 0.5000
H1 0.1006 0.2500 0.2500
```

The 10 most intense peaks (2θ from 10° to 80°), by angle:
d 3.900, rel. 96, (1 1 1)
d 3.378, rel. 8, (2 0 0)
d 2.388, rel. 100, (2 2 0)
d 2.037, rel. 54, (3 1 1)
d 1.950, rel. 2, (2 2 2)
d 1.689, rel. 17, (4 0 0)
d 1.550, rel. 24, (3 3 1)
d 1.511, rel. 3, (4 2 0)
d 1.379, rel. 35, (4 2 2)
d 1.300, rel. 18, (3 3 3)